Calculated XRD peak list of Li4Ni3SnP4O16 for copper Kα, from DFT lattice parameters and positions (GGA+U).
No peak broadening, texture or thermal motion is included.

Top 12 peaks for 2θ = 10–90°, in order of falling intensity:
2θ 25.7, I 1000, (1 1 1)
2θ 24.8, I 965, (1 1 -1)
2θ 30.1, I 951, (0 2 0)
2θ 33.5, I 815, (1 1 -3)
2θ 35.4, I 784, (1 1 3)
2θ 36.3, I 715, (0 1 4)
2θ 16.3, I 691, (0 0 2)
2θ 19.7, I 525, (1 0 -1)
2θ 52.7, I 403, (0 1 6)
2θ 50.9, I 396, (2 2 -2)
2θ 20.8, I 361, (1 0 1)
2θ 48.9, I 356, (2 2 0)

```
data_Li4Ni3SnP4O16
_cell_length_a 4.798
_cell_length_b 5.939
_cell_length_c 10.922
_cell_angle_alpha 90.00
_cell_angle_beta 94.01
_cell_angle_gamma 90.00
_space_group_name_H-M_alt 'P 1 m 1'
_space_group_IT_number 6
loop_
_space_group_symop_operation_xyz
'x,y,z'
'x,-y,z'
loop_
_atom_site_label
_atom_site_type_symbol
_atom_site_fract_x
_atom_site_fract_y
_atom_site_fract_z
Li1 Li 0.000 0.239 0.000
Li2 Li 0.578 0.252 0.465
Ni1 Ni 0.064 0.500 0.259
Ni2 Ni 0.096 0.000 0.674
Ni3 Ni 0.548 0.000 0.210
Sn1 Sn 0.571 0.500 0.762
P1 P 0.007 0.500 0.548
P2 P 0.146 0.000 0.380
P3 P 0.422 0.000 0.899
P4 P 0.604 0.500 0.096
O1 O 0.275 0.206 0.312
O2 O 0.284 0.203 0.822
O3 O 0.284 0.500 0.095
O4 O 0.291 0.000 0.513
O5 O 0.307 0.000 0.029
O6 O 0.327 0.500 0.549
O7 O 0.719 0.500 0.967
O8 O 0.740 0.000 0.904
O9 O 0.748 0.290 0.162
O10 O 0.825 0.000 0.375
O11 O 0.858 0.500 0.417
O12 O 0.892 0.286 0.613
```